Record 1
The following is a theoretical powder XRD pattern of Hf9BW4. It was derived from a PBE-relaxed structure, using Cu Kα (weighted mean of Kα1 and Kα2).
Neutral-atom scattering factors, no anomalous dispersion.

The 12 most intense peaks (10 to 90 degrees two-theta), by angle:
Position (°2θ)  intensity  h k l
11.90  19  1 0 0
31.88  35  2 0 2
33.69  30  1 0 3
36.25  20  3 0 0
37.79  73  3 0 1
38.34  100  2 1 2
39.87  39  2 0 3
42.11  21  2 2 0
63.58  29  3 2 3
65.20  18  3 3 0
66.45  30  3 0 5
66.59  23  5 0 2

Atomic structure:
```
Hf9BW4
1.0
8.5855 0.0000 0.0000
-4.2927 7.4352 0.0000
0.0000 0.0000 8.5457
Hf B W
18 2 8
Cartesian
-1.6462 4.0064 2.1364
0.0000 3.0186 4.7464
0.0000 3.0186 8.0722
-1.6785 5.9259 4.7464
-1.6785 5.9259 8.0722
2.6142 1.5093 0.4735
2.6142 1.5093 3.7993
1.6461 4.0064 2.1364
0.0000 6.8576 2.1364
4.2927 0.5776 6.4093
2.6466 3.4288 6.4093
1.6785 5.9259 4.7464
1.6785 5.9259 8.0722
5.9713 1.5093 0.4735
5.9713 1.5093 3.7993
4.2927 4.4166 0.4735
4.2927 4.4166 3.7993
5.9389 3.4288 6.4093
0.0000 4.9568 6.4093
4.2927 2.4784 2.1364
0.0000 0.0000 0.0000
0.0000 0.0000 4.2729
0.0000 1.6575 2.1364
-2.8573 6.6065 2.1364
1.4354 0.8287 6.4093
2.8573 6.6065 2.1364
7.1501 0.8287 6.4093
4.2927 5.7778 6.4093
```

***

Record 2
The following is a theoretical powder XRD pattern of Hg3B. It was derived from a PBE-relaxed structure, using Cu Kα (weighted mean of Kα1 and Kα2).
Neutral-atom scattering factors, no anomalous dispersion.

The 12 most intense peaks (10 to 90 degrees two-theta), by angle:
Position (°2θ)  intensity  h k l
23.92  18  0 1 1
24.06  36  1 1 0
29.00  13  1 0 1
33.89  23  2 0 0
34.69  43  0 2 0
37.84  51  0 1 2
38.21  100  2 1 0
48.98  12  0 2 2
49.28  16  2 2 0
64.52  22  2 3 0
71.24  12  2 2 2
71.35  12  2 2 -4

Atomic structure:
```
Hg3B
1.0
6.0854 0.0000 0.0000
0.0000 5.1722 0.0000
-3.0317 0.0000 5.3538
Hg B
6 2
Cartesian
-0.0340 1.2931 1.7641
1.5233 3.8792 0.8505
-0.0305 3.8792 3.5899
3.0842 1.2931 1.7639
1.5304 1.2931 4.5033
3.0878 3.8792 3.5897
-1.5111 1.2931 4.4537
4.5649 3.8792 0.9001
```

***

Record 3
The following is a theoretical powder XRD pattern of HgB4O7. It was derived from a PBE-relaxed structure, using Cu Kα (weighted mean of Kα1 and Kα2).
Neutral-atom scattering factors, no anomalous dispersion.

The 12 most intense peaks (10 to 90 degrees two-theta), by angle:
Position (°2θ)  intensity  h k l
16.37  75  2 0 0
21.60  67  1 1 0
22.51  84  1 0 1
29.09  47  0 1 1
30.26  33  1 1 1
31.92  50  3 1 0
32.57  63  3 0 1
33.56  100  2 1 1
44.62  50  4 1 1
45.95  22  2 0 2
48.28  33  1 1 2
49.22  21  2 2 1

Atomic structure:
```
HgB4O7
1.0
10.8317 0.0000 0.0000
0.0000 4.4483 0.0000
0.0000 0.0000 4.2418
Hg B O
2 8 14
Cartesian
0.0000 0.7867 0.0000
5.4158 3.6616 2.1209
1.3065 2.9967 2.1880
2.6947 3.6788 0.1630
2.7212 0.7695 2.2839
4.1094 1.4515 0.0671
6.7223 1.4515 0.0671
8.1105 0.7695 2.2839
8.1370 3.6788 0.1630
9.5252 2.9967 2.1880
0.0000 3.4118 2.6463
1.4605 3.2607 0.7614
1.5349 1.5818 2.4919
2.3927 3.8569 2.8983
3.0232 0.5913 0.7774
3.8809 2.8664 0.3710
3.9553 1.1876 2.8823
5.4158 1.0365 0.5254
6.8764 1.1876 2.8823
6.9507 2.8664 0.3710
7.8085 0.5913 0.7774
8.4390 3.8569 2.8983
9.2968 1.5818 2.4919
9.3712 3.2607 0.7614
```